Structure and theoretical X-ray diffraction stick pattern of AlCuRe (the GGA-PBE geometry in Alexandria; CuKα).
Intensities are scaled so that the largest is 100.

Cell lengths 2.7865, 2.7865, 38.1212 Å; angles 90.00, 90.00, 120.00 degrees
Space group R3m (No. 160, hexagonal axes)
Unique sites:
Al: 0.0000 0.0000 0.0000
Al: 0.0000 0.0000 0.4412
Cu: 0.0000 0.0000 0.2800
Cu: 0.0000 0.0000 0.7211
Re: 0.0000 0.0000 0.5543
Re: 0.0000 0.0000 0.8324

Peak list (6 most intense, 15 to 90 degrees two-theta, by angle)
2theta	I_rel	hkl
37.34	30.6	1 0 1
38.48	53.6	1 0 4
40.90	100.0	1 0 7
42.69	38.5	0 0 18
45.82	71.8	0 1 11
82.95	33.0	1 1 18